Entry 1:
Simulated PXRD pattern of Ca2CrFeO5 for CuKα, from a DFT-relaxed cell (GGA+U, Alexandria).

Top 12 peaks for 10° ≤ 2θ ≤ 80°, in order of rising 2θ:
| two_theta | I_rel |
| --- | --- |
| 22.50 | 12 |
| 29.03 | 13 |
| 31.64 | 38 |
| 32.41 | 45 |
| 33.29 | 100 |
| 43.46 | 12 |
| 45.92 | 39 |
| 49.61 | 18 |
| 55.74 | 12 |
| 57.41 | 21 |
| 58.37 | 14 |
| 69.90 | 12 |

Crystal structure
a = 5.525 Å, b = 14.700 Å, c = 5.656 Å
α = 90.00°, β = 90.00°, γ = 90.00°
Positions (direct):
Ca1 0.035 0.108 0.021
Ca2 0.035 0.392 0.021
Ca3 0.465 0.608 0.521
Ca4 0.465 0.892 0.521
Ca5 0.535 0.108 0.479
Ca6 0.535 0.392 0.479
Ca7 0.965 0.608 0.979
Ca8 0.965 0.892 0.979
Cr1 0.000 0.000 0.500
Cr2 0.000 0.500 0.500
Cr3 0.500 0.000 0.000
Cr4 0.500 0.500 0.000
Fe1 0.055 0.250 0.564
Fe2 0.445 0.750 0.064
Fe3 0.555 0.250 0.936
Fe4 0.945 0.750 0.436
O1 0.030 0.640 0.579
O2 0.030 0.860 0.579
O3 0.096 0.750 0.125
O4 0.221 0.520 0.222
O5 0.221 0.980 0.222
O6 0.279 0.020 0.722
O7 0.279 0.480 0.722
O8 0.404 0.250 0.625
O9 0.470 0.140 0.079
O10 0.470 0.360 0.079
O11 0.530 0.640 0.921
O12 0.530 0.860 0.921
O13 0.596 0.750 0.375
O14 0.721 0.520 0.278
O15 0.721 0.980 0.278
O16 0.779 0.020 0.778
O17 0.779 0.480 0.778
O18 0.904 0.250 0.875
O19 0.970 0.140 0.421
O20 0.970 0.360 0.421


Entry 2:
Simulated PXRD pattern of CaCr2GaO8 for CuKα, from a DFT-relaxed cell (GGA+U, Alexandria).

Top 12 peaks for 10° ≤ 2θ ≤ 80°, in order of rising 2θ:
| two_theta | I_rel |
| --- | --- |
| 24.75 | 100 |
| 34.79 | 46 |
| 35.28 | 12 |
| 39.17 | 7 |
| 40.53 | 6 |
| 50.39 | 50 |
| 50.76 | 15 |
| 57.27 | 9 |
| 63.01 | 17 |
| 67.87 | 8 |
| 73.45 | 7 |
| 74.33 | 8 |

Crystal structure
a = 5.902 Å, b = 5.902 Å, c = 5.902 Å
α = 104.89°, β = 104.89°, γ = 119.09°
Positions (direct):
Ca1 0.000 0.000 0.000
Cr1 0.250 0.750 0.500
Cr2 0.500 0.500 0.000
Ga1 0.750 0.250 0.500
O1 0.056 0.380 0.324
O2 0.056 0.732 0.676
O3 0.149 0.336 0.813
O4 0.268 0.944 0.324
O5 0.523 0.336 0.187
O6 0.620 0.944 0.676
O7 0.664 0.477 0.813
O8 0.664 0.851 0.187